This entry pairs a crystal structure of Sm2YAl2Zn2 with its calculated X-ray powder pattern. Radiation: Cu Kα. Structure: a cell relaxed with GGA-PBE.
Lines closer than 0.1° are merged.

Largest 12 diffraction maxima, sorted by position, 2θ = 10–80°:
2θ/deg	I/Imax
22.96	37
26.13	66
32.08	68
34.48	100
39.91	92
49.05	13
52.10	17
53.75	28
65.01	34
67.59	15
69.00	26
72.48	15

Unit cell a=9.6455 b=9.6455 c=9.6455 alpha=27.08 beta=27.08 gamma=27.08
Fractional coordinates of all 7 atoms:
Sm (0.1269, 0.1269, 0.1269)
Sm (0.8731, 0.8731, 0.8731)
Y (0.0000, 0.0000, 0.0000)
Al (0.2667, 0.2667, 0.2667)
Al (0.7333, 0.7333, 0.7333)
Zn (0.3955, 0.3955, 0.3955)
Zn (0.6045, 0.6045, 0.6045)